Record 1
For RbCoPO4, a PBE+U-relaxed structure gives the theoretical PXRD pattern in this record (Cu Kα (λ = 1.5418 Å)).
Kinematic intensities with the Lorentz-polarization factor, no thermal factor.

Cell lengths 7.1400, 7.1400, 7.1400 Å; angles 120.82, 120.82, 88.59 degrees
Atoms (fractional coordinates):
Rb 0.2500 0.2500 0.0000
Rb 0.7500 0.7500 0.0000
Co 0.0000 0.5000 0.5000
Co 0.5000 0.0000 0.5000
P 0.2500 0.7500 0.5000
P 0.7500 0.2500 0.5000
O 0.0318 0.5318 0.2546
O 0.2228 0.9682 0.5000
O 0.2772 0.7772 0.7454
O 0.4682 0.7228 0.5000
O 0.5318 0.2772 0.5000
O 0.7228 0.2228 0.2546
O 0.7772 0.0318 0.5000
O 0.9682 0.4682 0.7454

Peak list (12 most intense, 2θ = 10–90°, in order of falling intensity)
- 25.26°, intensity 100
- 24.95°, intensity 66
- 44.32°, intensity 43
- 43.75°, intensity 41
- 36.03°, intensity 37
- 51.19°, intensity 26
- 17.35°, intensity 26
- 70.13°, intensity 20
- 64.18°, intensity 19
- 58.54°, intensity 17
- 17.79°, intensity 16
- 57.14°, intensity 12

=====

Record 2
For Sr2ScCoPO3, a PBE+U-relaxed structure gives the theoretical PXRD pattern in this record (Cu Kα (λ = 1.5418 Å)).
Kinematic intensities with the Lorentz-polarization factor, no thermal factor.

Cell lengths 4.0193, 4.0193, 15.2232 Å; angles 90.00, 90.00, 90.00 degrees
Atoms (fractional coordinates):
Sr 0.2500 0.2500 0.0893
Sr 0.2500 0.2500 0.3263
Sr 0.7500 0.7500 0.6737
Sr 0.7500 0.7500 0.9107
Sc 0.2500 0.2500 0.7998
Sc 0.7500 0.7500 0.2002
Co 0.2500 0.7500 0.5000
Co 0.7500 0.2500 0.5000
P 0.2500 0.2500 0.5641
P 0.7500 0.7500 0.4359
O 0.2500 0.2500 0.9309
O 0.2500 0.7500 0.2235
O 0.2500 0.7500 0.7765
O 0.7500 0.2500 0.2235
O 0.7500 0.2500 0.7765
O 0.7500 0.7500 0.0691

Peak list (12 most intense, 2θ = 10–90°, in order of falling intensity)
- 32.40°, intensity 100
- 45.11°, intensity 57
- 56.63°, intensity 39
- 31.48°, intensity 37
- 39.58°, intensity 35
- 58.36°, intensity 22
- 36.23°, intensity 22
- 22.88°, intensity 21
- 32.04°, intensity 20
- 65.71°, intensity 17
- 29.33°, intensity 13
- 62.98°, intensity 11

=====

Record 3
For Co2SiP4O14, a PBE+U-relaxed structure gives the theoretical PXRD pattern in this record (Cu Kα (λ = 1.5418 Å)).
Kinematic intensities with the Lorentz-polarization factor, no thermal factor.

Cell lengths 8.7541, 8.7541, 12.2245 Å; angles 103.28, 103.28, 32.43 degrees
Atoms (fractional coordinates):
Co 0.1008 0.3924 0.1303
Co 0.3924 0.1008 0.6303
Co 0.6076 0.8992 0.3697
Co 0.8992 0.6076 0.8697
Si 0.1710 0.8290 0.2500
Si 0.8290 0.1710 0.7500
P 0.0373 0.6910 0.5871
P 0.2525 0.5014 0.3690
P 0.3090 0.9627 0.9129
P 0.4986 0.7475 0.1310
P 0.5014 0.2525 0.8690
P 0.6910 0.0373 0.0871
P 0.7475 0.4986 0.6310
P 0.9627 0.3090 0.4129
O 0.0122 0.6031 0.2974
O 0.0404 0.0930 0.3263
O 0.0930 0.0404 0.8263
O 0.1296 0.6888 0.4871
O 0.1892 0.5314 0.8865
O 0.1911 0.2250 0.9540
O 0.2250 0.1911 0.4540
O 0.2944 0.4047 0.6353
O 0.3112 0.8704 0.0129
O 0.3230 0.5953 0.3289
O 0.3969 0.9878 0.2026
O 0.4047 0.2944 0.1353
O 0.4047 0.6770 0.1711
O 0.4686 0.8108 0.6135
O 0.5314 0.1892 0.3865
O 0.5953 0.3230 0.8289
O 0.5953 0.7056 0.8647
O 0.6031 0.0122 0.7974
O 0.6770 0.4047 0.6711
O 0.6888 0.1296 0.9871
O 0.7056 0.5953 0.3647
O 0.7750 0.8089 0.5460
O 0.8089 0.7750 0.0460
O 0.8108 0.4686 0.1135
O 0.8704 0.3112 0.5129
O 0.9070 0.9596 0.1737
O 0.9596 0.9070 0.6737
O 0.9878 0.3969 0.7026

Peak list (12 most intense, 2θ = 10–90°, in order of falling intensity)
- 10.84°, intensity 100
- 26.76°, intensity 81
- 26.62°, intensity 78
- 30.12°, intensity 40
- 24.43°, intensity 32
- 32.33°, intensity 27
- 30.61°, intensity 24
- 34.54°, intensity 22
- 28.52°, intensity 19
- 30.82°, intensity 17
- 36.21°, intensity 16
- 67.80°, intensity 14

=====

Record 4
For SrCoP2O7, a PBE+U-relaxed structure gives the theoretical PXRD pattern in this record (Cu Kα (λ = 1.5418 Å)).
Kinematic intensities with the Lorentz-polarization factor, no thermal factor.

Cell lengths 5.2927, 8.2040, 13.6430 Å; angles 90.00, 112.76, 90.00 degrees
Atoms (fractional coordinates):
Sr 0.0655 0.1609 0.2794
Sr 0.0655 0.3391 0.7794
Sr 0.9345 0.6609 0.2206
Sr 0.9345 0.8391 0.7206
Co 0.4291 0.1464 0.6064
Co 0.4291 0.3536 0.1064
Co 0.5709 0.6464 0.8936
Co 0.5709 0.8536 0.3936
P 0.1998 0.6999 0.0173
P 0.1998 0.8001 0.5173
P 0.4130 0.5335 0.6624
P 0.4130 0.9665 0.1624
P 0.5870 0.0335 0.8376
P 0.5870 0.4665 0.3376
P 0.8002 0.1999 0.4827
P 0.8002 0.3001 0.9827
O 0.0746 0.1669 0.4727
O 0.0746 0.3331 0.9727
O 0.1967 0.6795 0.9055
O 0.1967 0.8205 0.4055
O 0.2758 0.6099 0.5442
O 0.2758 0.8901 0.0442
O 0.2798 0.0580 0.7986
O 0.2798 0.4420 0.2986
O 0.2856 0.6203 0.7322
O 0.2856 0.8797 0.2322
O 0.3234 0.1442 0.1513
O 0.3234 0.3558 0.6513
O 0.4321 0.6011 0.1006
O 0.4321 0.8989 0.6006
O 0.5679 0.1011 0.3994
O 0.5679 0.3989 0.8994
O 0.6766 0.6442 0.3487
O 0.6766 0.8558 0.8487
O 0.7144 0.1203 0.7678
O 0.7144 0.3797 0.2678
O 0.7202 0.5580 0.7014
O 0.7202 0.9420 0.2014
O 0.7242 0.1099 0.9558
O 0.7242 0.3901 0.4558
O 0.8033 0.1795 0.5945
O 0.8033 0.3205 0.0945
O 0.9254 0.6669 0.0273
O 0.9254 0.8331 0.5273

Peak list (12 most intense, 2θ = 10–90°, in order of falling intensity)
- 27.14°, intensity 100
- 27.51°, intensity 56
- 29.26°, intensity 56
- 33.87°, intensity 41
- 46.21°, intensity 38
- 30.47°, intensity 37
- 33.53°, intensity 35
- 31.02°, intensity 34
- 44.60°, intensity 29
- 34.96°, intensity 27
- 28.42°, intensity 27
- 12.88°, intensity 26

=====

Record 5
For SrCo3P4O14, a PBE+U-relaxed structure gives the theoretical PXRD pattern in this record (Cu Kα (λ = 1.5418 Å)).
Kinematic intensities with the Lorentz-polarization factor, no thermal factor.

Cell lengths 7.4364, 7.6615, 9.4669 Å; angles 90.00, 111.76, 90.00 degrees
Atoms (fractional coordinates):
Sr 0.0000 0.0000 0.0000
Sr 0.0000 0.5000 0.5000
Co 0.3125 0.1254 0.4697
Co 0.3125 0.3746 0.9697
Co 0.5000 0.0000 0.0000
Co 0.5000 0.5000 0.5000
Co 0.6875 0.6254 0.0303
Co 0.6875 0.8746 0.5303
P 0.1001 0.0610 0.7012
P 0.1001 0.4390 0.2012
P 0.3852 0.7052 0.1937
P 0.3852 0.7948 0.6937
P 0.6148 0.2052 0.3063
P 0.6148 0.2948 0.8063
P 0.8999 0.5610 0.7988
P 0.8999 0.9390 0.2988
O 0.1051 0.5244 0.8070
O 0.1051 0.9756 0.3070
O 0.1221 0.1848 0.5835
O 0.1221 0.3152 0.0835
O 0.1767 0.6295 0.1774
O 0.1767 0.8705 0.6774
O 0.2270 0.1186 0.8652
O 0.2270 0.3814 0.3652
O 0.3407 0.6207 0.6107
O 0.3407 0.8793 0.1107
O 0.4721 0.5757 0.1136
O 0.4721 0.9243 0.6136
O 0.4956 0.7139 0.3655
O 0.4956 0.7861 0.8655
O 0.5044 0.2139 0.1345
O 0.5044 0.2861 0.6345
O 0.5279 0.0757 0.3864
O 0.5279 0.4243 0.8864
O 0.6593 0.1207 0.8893
O 0.6593 0.3793 0.3893
O 0.7730 0.6186 0.6348
O 0.7730 0.8814 0.1348
O 0.8233 0.1295 0.3226
O 0.8233 0.3705 0.8226
O 0.8779 0.6848 0.9165
O 0.8779 0.8152 0.4165
O 0.8949 0.0244 0.6930
O 0.8949 0.4756 0.1930

Peak list (12 most intense, 2θ = 10–90°, in order of falling intensity)
- 30.20°, intensity 100
- 26.63°, intensity 55
- 33.32°, intensity 54
- 28.76°, intensity 49
- 36.64°, intensity 43
- 34.03°, intensity 41
- 30.68°, intensity 36
- 20.20°, intensity 36
- 54.83°, intensity 32
- 32.72°, intensity 32
- 36.74°, intensity 32
- 49.11°, intensity 29

=====

Record 6
For ZnCoP2O7, a PBE+U-relaxed structure gives the theoretical PXRD pattern in this record (Cu Kα (λ = 1.5418 Å)).
Kinematic intensities with the Lorentz-polarization factor, no thermal factor.

Cell lengths 4.4850, 5.2591, 5.2821 Å; angles 103.40, 98.65, 98.69 degrees
Atoms (fractional coordinates):
Zn 0.0000 0.0000 0.0000
Co 0.9973 0.6207 0.3842
P 0.4064 0.5268 0.9101
P 0.5928 0.0909 0.4741
O 0.2197 0.3813 0.0722
O 0.2219 0.6891 0.7650
O 0.2841 0.9269 0.3114
O 0.5010 0.3089 0.6929
O 0.7145 0.6908 0.0743
O 0.7776 0.2373 0.3131
O 0.7793 0.9272 0.6181

Peak list (12 most intense, 2θ = 10–90°, in order of falling intensity)
- 29.81°, intensity 100
- 30.60°, intensity 69
- 29.63°, intensity 45
- 35.59°, intensity 25
- 49.85°, intensity 18
- 44.24°, intensity 18
- 20.41°, intensity 17
- 17.63°, intensity 17
- 35.44°, intensity 13
- 71.83°, intensity 12
- 63.23°, intensity 12
- 43.02°, intensity 12